Diffraction record for Sr2NiMoO6. The X-ray diffraction stick pattern is simulated, not measured: it uses a GGA+U-relaxed structure and λ = 1.5418 Å (Cu Kα).
Peak positions follow from Bragg's law for the DFT cell and can differ from measured ones.

Structural model:
Unit cell a=7.978 b=7.978 c=7.978 alpha=90.00 beta=90.00 gamma=90.00
Space group Fm-3m (No. 225)
Unique sites:
Sr (0.250, 0.250, 0.250) [8 per cell]
Ni (0.000, 0.000, 0.000) [4 per cell]
Mo (0.000, 0.000, 0.500) [4 per cell]
O (0.000, 0.000, 0.257) [24 per cell]

Most intense lines, 2θ = 5–70°, in order of rising 2θ:
2theta  I (rel.)
19.27  4
31.72  100
39.11  5
45.48  36
56.51  38
66.27  21